This entry pairs a crystal structure of LiTh2Pb2 with its theoretical X-ray diffraction stick pattern. Radiation: Cu Ka. Structure: a cell relaxed with GGA-PBE.

Largest 6 diffraction maxima, by intensity, 15° ≤ 2θ ≤ 90°:
Position (°2θ)	intensity
27.2	100
27.0	98
26.5	88
38.7	79
47.5	72
38.4	70

Structure:
Lattice parameters (Å, degrees): 8.180 8.180 8.180 132.41 69.28 132.79
Fractional coordinates of all 10 atoms:
Li1 0.250 0.250 0.000
Li2 0.750 0.750 0.000
Th1 0.146 0.728 0.874
Th2 0.354 0.228 0.582
Th3 0.646 0.772 0.418
Th4 0.854 0.272 0.126
Pb1 0.113 0.243 0.355
Pb2 0.387 0.743 0.130
Pb3 0.613 0.257 0.870
Pb4 0.887 0.757 0.645

---

This entry pairs a crystal structure of Li5Tl2Pb with its theoretical X-ray diffraction stick pattern. Radiation: Cu Ka. Structure: a cell relaxed with GGA-PBE.

Largest 6 diffraction maxima, by intensity, 15° ≤ 2θ ≤ 90°:
Position (°2θ)	intensity
26.2	100
37.2	92
25.8	51
37.4	46
46.0	44
19.6	37

Structure:
Lattice parameters (Å, degrees): 7.687 7.687 7.687 143.58 143.58 52.46
Fractional coordinates of all 8 atoms:
Li1 0.000 0.000 0.000
Li2 0.121 0.621 0.500
Li3 0.379 0.879 0.500
Li4 0.621 0.121 0.500
Li5 0.879 0.379 0.500
Tl1 0.243 0.243 0.000
Tl2 0.757 0.757 0.000
Pb1 0.500 0.500 0.000

---

This entry pairs a crystal structure of Li2Tl3Pb3 with its theoretical X-ray diffraction stick pattern. Radiation: Cu Ka. Structure: a cell relaxed with GGA-PBE.

Largest 6 diffraction maxima, by intensity, 15° ≤ 2θ ≤ 90°:
Position (°2θ)	intensity
32.9	100
32.7	87
21.2	42
35.2	39
52.2	38
27.8	29

Structure:
Lattice parameters (Å, degrees): 8.372 8.372 3.585 90.00 90.00 120.00
Fractional coordinates of all 8 atoms:
Li1 0.333 0.667 0.000
Li2 0.667 0.333 0.000
Tl1 0.000 0.239 0.000
Tl2 0.239 0.000 0.000
Tl3 0.761 0.761 0.000
Pb1 0.000 0.597 0.500
Pb2 0.403 0.403 0.500
Pb3 0.597 0.000 0.500

---

This entry pairs a crystal structure of LiTl6Pb3 with its theoretical X-ray diffraction stick pattern. Radiation: Cu Ka. Structure: a cell relaxed with GGA-PBE.

Largest 6 diffraction maxima, by intensity, 15° ≤ 2θ ≤ 90°:
Position (°2θ)	intensity
33.2	100
33.7	76
34.1	75
31.9	67
62.6	29
57.7	24

Structure:
Lattice parameters (Å, degrees): 9.080 5.606 12.319 90.00 108.95 90.00
Fractional coordinates of all 20 atoms:
Li1 0.110 0.250 0.074
Li2 0.890 0.750 0.926
Tl1 0.080 0.750 0.211
Tl2 0.095 0.250 0.572
Tl3 0.272 0.750 0.026
Tl4 0.281 0.250 0.362
Tl5 0.481 0.250 0.167
Tl6 0.499 0.750 0.333
Tl7 0.501 0.250 0.667
Tl8 0.519 0.750 0.833
Tl9 0.719 0.750 0.638
Tl10 0.728 0.250 0.974
Tl11 0.905 0.750 0.428
Tl12 0.920 0.250 0.789
Pb1 0.119 0.750 0.738
Pb2 0.302 0.750 0.530
Pb3 0.315 0.250 0.876
Pb4 0.685 0.750 0.124
Pb5 0.698 0.250 0.470
Pb6 0.881 0.250 0.262

---

This entry pairs a crystal structure of LiTl2Pb5 with its theoretical X-ray diffraction stick pattern. Radiation: Cu Ka. Structure: a cell relaxed with GGA-PBE.

Largest 6 diffraction maxima, by intensity, 15° ≤ 2θ ≤ 90°:
Position (°2θ)	intensity
33.8	100
30.4	65
56.2	48
43.6	25
62.4	18
89.7	14

Structure:
Lattice parameters (Å, degrees): 6.817 6.817 6.817 104.86 104.86 119.15
Fractional coordinates of all 8 atoms:
Li1 0.000 0.000 0.000
Tl1 0.000 0.500 0.500
Tl2 0.500 0.000 0.500
Pb1 0.000 0.000 0.500
Pb2 0.000 0.500 0.000
Pb3 0.500 0.000 0.000
Pb4 0.500 0.500 0.000
Pb5 0.500 0.500 0.500

---

This entry pairs a crystal structure of Li4TlPb with its theoretical X-ray diffraction stick pattern. Radiation: Cu Ka. Structure: a cell relaxed with GGA-PBE.

Largest 6 diffraction maxima, by intensity, 15° ≤ 2θ ≤ 90°:
Position (°2θ)	intensity
21.7	100
36.3	61
38.1	28
48.4	24
67.6	21
53.6	20

Structure:
Lattice parameters (Å, degrees): 4.728 4.728 6.218 90.06 90.06 60.02
Fractional coordinates of all 6 atoms:
Li1 0.166 0.166 0.200
Li2 0.167 0.167 0.686
Li3 0.833 0.833 0.314
Li4 0.834 0.834 0.800
Tl1 0.500 0.500 0.000
Pb1 0.500 0.500 0.500